No. 1
Diffraction record for BaFe2Se4O12. The powder diffractogram is computed, not measured: it uses a DFT-relaxed cell (GGA+U, the Materials Project) and Cu Kα (weighted mean of Kα1 and Kα2).

Structural model:
Cell lengths 10.348, 5.309, 14.192 Å; angles 90.00, 130.79, 90.00 degrees
Space group P2/c (No. 13)
Asymmetric unit:
1 Ba 0.000 0.061 0.250 [2 per cell]
2 Fe 0.000 0.500 0.000 [2 per cell]
3 Fe 0.500 0.000 0.000 [2 per cell]
4 Se 0.253 0.008 0.094 [4 per cell]
5 Se 0.341 0.497 0.817 [4 per cell]
6 O 0.086 0.186 0.967 [4 per cell]
7 O 0.137 0.414 0.184 [4 per cell]
8 O 0.189 0.293 0.532 [4 per cell]
9 O 0.297 0.212 0.850 [4 per cell]
10 O 0.348 0.303 0.417 [4 per cell]
11 O 0.419 0.055 0.095 [4 per cell]

Most intense lines, 2θ = 10–80°, by angle:
2θ 24.08, rel. 99
2θ 26.46, rel. 35
2θ 27.16, rel. 50
2θ 30.32, rel. 46
2θ 30.64, rel. 100
2θ 33.76, rel. 30

***

No. 2
Diffraction record for BaFe2Si2O7. The powder diffractogram is computed, not measured: it uses a DFT-relaxed cell (GGA+U, the Materials Project) and Cu Kα (weighted mean of Kα1 and Kα2).

Structural model:
Cell lengths 7.607, 14.016, 7.210 Å; angles 90.00, 118.26, 90.00 degrees
Space group P2_1/c (No. 14)
Asymmetric unit:
1 Ba 0.011 0.143 0.206 [4 per cell]
2 Fe 0.462 0.002 0.212 [4 per cell]
3 Fe 0.498 0.744 0.306 [4 per cell]
4 Si 0.223 0.109 0.798 [4 per cell]
5 Si 0.223 0.617 0.886 [4 per cell]
6 O 0.009 0.621 0.902 [4 per cell]
7 O 0.225 0.516 0.774 [4 per cell]
8 O 0.227 0.710 0.749 [4 per cell]
9 O 0.243 0.188 0.975 [4 per cell]
10 O 0.273 0.000 0.892 [4 per cell]
11 O 0.376 0.128 0.699 [4 per cell]
12 O 0.408 0.624 0.128 [4 per cell]

Most intense lines, 2θ = 10–80°, by angle:
2θ 26.69, rel. 98
2θ 28.11, rel. 77
2θ 28.77, rel. 100
2θ 35.73, rel. 26
2θ 38.05, rel. 36
2θ 48.35, rel. 27

***

No. 3
Diffraction record for BaFeSi4O10. The powder diffractogram is computed, not measured: it uses a DFT-relaxed cell (GGA+U, the Materials Project) and Cu Kα (weighted mean of Kα1 and Kα2).

Structural model:
Cell lengths 7.699, 7.699, 8.048 Å; angles 90.00, 90.00, 90.00 degrees
Space group P4/nmm (No. 129, origin choice 2)
Asymmetric unit:
1 Ba 0.250 0.750 0.000 [2 per cell]
2 Fe 0.250 0.250 0.180 [2 per cell]
3 Si 0.042 0.042 0.694 [8 per cell]
4 O 0.000 0.000 0.500 [4 per cell]
5 O 0.003 0.250 0.727 [8 per cell]
6 O 0.066 0.066 0.172 [8 per cell]

Most intense lines, 2θ = 10–80°, by angle:
2θ 10.99, rel. 41
2θ 19.69, rel. 48
2θ 25.65, rel. 100
2θ 27.57, rel. 67
2θ 28.19, rel. 35
2θ 32.91, rel. 47

***

No. 4
Diffraction record for BaFeSi4O10. The powder diffractogram is computed, not measured: it uses a DFT-relaxed cell (GGA+U, the Materials Project) and Cu Kα (weighted mean of Kα1 and Kα2).

Structural model:
Cell lengths 7.544, 7.646, 8.215 Å; angles 90.00, 90.00, 90.00 degrees
Space group P2_12_12 (No. 18)
Asymmetric unit:
1 Ba 0.000 0.000 0.019 [2 per cell]
2 Fe 0.000 0.500 0.807 [2 per cell]
3 Si 0.183 0.277 0.325 [4 per cell]
4 Si 0.240 0.684 0.299 [4 per cell]
5 O 0.028 0.727 0.274 [4 per cell]
6 O 0.147 0.275 0.845 [4 per cell]
7 O 0.196 0.249 0.522 [4 per cell]
8 O 0.226 0.629 0.784 [4 per cell]
9 O 0.234 0.970 0.720 [4 per cell]

Most intense lines, 2θ = 10–80°, by angle:
2θ 19.75, rel. 78
2θ 25.70, rel. 73
2θ 25.99, rel. 70
2θ 27.34, rel. 100
2θ 33.37, rel. 51
2θ 36.86, rel. 48

***

Repeat the third record exactly.
Diffraction record for BaFeSi4O10. The powder diffractogram is computed, not measured: it uses a DFT-relaxed cell (GGA+U, the Materials Project) and Cu Kα (weighted mean of Kα1 and Kα2).

Structural model:
Cell lengths 7.699, 7.699, 8.048 Å; angles 90.00, 90.00, 90.00 degrees
Space group P4/nmm (No. 129, origin choice 2)
Asymmetric unit:
1 Ba 0.250 0.750 0.000 [2 per cell]
2 Fe 0.250 0.250 0.180 [2 per cell]
3 Si 0.042 0.042 0.694 [8 per cell]
4 O 0.000 0.000 0.500 [4 per cell]
5 O 0.003 0.250 0.727 [8 per cell]
6 O 0.066 0.066 0.172 [8 per cell]

Most intense lines, 2θ = 10–80°, by angle:
2θ 10.99, rel. 41
2θ 19.69, rel. 48
2θ 25.65, rel. 100
2θ 27.57, rel. 67
2θ 28.19, rel. 35
2θ 32.91, rel. 47

***

Question: Number 2 is which compound?
Answer: BaFe2Si2O7

***

Question: Which formula does entry 3 have?
Answer: BaFeSi4O10